Record 1
Starting from a structure optimized by DFT (GGA-PBE), the X-ray powder pattern of CaSmCd3 was simulated for Cu Kα (λ = 1.5418 Å).
Lines closer than 0.1° are merged.

Structure:
abc: 15.1433 15.1433 4.9887
angles: 90.00 90.00 166.35
Fractional coordinates of all 10 atoms:
Ca (0.0738, 0.9262, 0.7500)
Ca (0.9262, 0.0738, 0.2500)
Sm (0.2137, 0.7863, 0.2500)
Sm (0.7863, 0.2137, 0.7500)
Cd (0.3261, 0.6739, 0.2500)
Cd (0.3795, 0.6205, 0.7500)
Cd (0.4757, 0.5243, 0.7500)
Cd (0.5243, 0.4757, 0.2500)
Cd (0.6205, 0.3795, 0.2500)
Cd (0.6739, 0.3261, 0.7500)

Top 10 peaks for 10° ≤ 2θ ≤ 90°, sorted by position:
| two_theta | I_rel |
| --- | --- |
| 24.92 | 31 |
| 30.78 | 20 |
| 31.94 | 100 |
| 32.45 | 55 |
| 34.83 | 100 |
| 36.01 | 53 |
| 41.06 | 32 |
| 49.25 | 33 |
| 50.73 | 19 |
| 63.02 | 34 |

Record 2
Starting from a structure optimized by DFT (GGA-PBE), the X-ray powder pattern of CoSiHg was simulated for Cu Kα (λ = 1.5418 Å).
Lines closer than 0.1° are merged.

Structure:
abc: 5.9526 5.9526 5.9526
angles: 153.74 143.98 45.12
Fractional coordinates of all 3 atoms:
Co (0.0000, 0.0000, 0.0000)
Si (0.4854, 0.4854, 0.0000)
Hg (0.2397, 0.2397, 0.0000)

Top 10 peaks for 10° ≤ 2θ ≤ 90°, sorted by position:
| two_theta | I_rel |
| --- | --- |
| 16.12 | 35 |
| 25.52 | 100 |
| 32.58 | 53 |
| 34.14 | 48 |
| 34.54 | 39 |
| 41.45 | 79 |
| 48.21 | 22 |
| 53.69 | 67 |
| 60.54 | 18 |
| 61.53 | 18 |

Record 3
Starting from a structure optimized by DFT (GGA-PBE), the X-ray powder pattern of AcTb3Ho3 was simulated for Cu Kα (λ = 1.5418 Å).
Lines closer than 0.1° are merged.

Structure:
abc: 13.0054 13.0054 13.0054
angles: 117.10 117.10 117.10
Fractional coordinates of all 28 atoms:
Ac (0.0000, 0.0000, 0.0000)
Ac (0.4155, 0.5998, 0.5998)
Ac (0.5998, 0.4155, 0.5998)
Ac (0.5998, 0.5998, 0.4155)
Tb (0.0137, 0.5601, 0.7647)
Tb (0.0137, 0.7647, 0.5601)
Tb (0.0399, 0.0399, 0.2997)
Tb (0.0399, 0.2997, 0.0399)
Tb (0.2997, 0.0399, 0.0399)
Tb (0.3248, 0.3248, 0.7730)
Tb (0.3248, 0.7730, 0.3248)
Tb (0.5601, 0.0137, 0.7647)
Tb (0.5601, 0.7647, 0.0137)
Tb (0.7647, 0.0137, 0.5601)
Tb (0.7647, 0.5601, 0.0137)
Tb (0.7730, 0.3248, 0.3248)
Ho (0.0051, 0.2745, 0.5343)
Ho (0.0051, 0.5343, 0.2745)
Ho (0.1512, 0.1512, 0.8585)
Ho (0.1512, 0.8585, 0.1512)
Ho (0.2745, 0.0051, 0.5343)
Ho (0.2745, 0.5343, 0.0051)
Ho (0.3289, 0.8018, 0.8018)
Ho (0.5343, 0.0051, 0.2745)
Ho (0.5343, 0.2745, 0.0051)
Ho (0.8018, 0.3289, 0.8018)
Ho (0.8018, 0.8018, 0.3289)
Ho (0.8585, 0.1512, 0.1512)

Top 10 peaks for 10° ≤ 2θ ≤ 90°, sorted by position:
| two_theta | I_rel |
| --- | --- |
| 29.08 | 63 |
| 29.30 | 27 |
| 31.29 | 76 |
| 32.27 | 100 |
| 32.53 | 100 |
| 46.48 | 18 |
| 47.10 | 16 |
| 54.25 | 20 |
| 58.22 | 24 |
| 62.39 | 27 |

Record 4
Starting from a structure optimized by DFT (GGA-PBE), the X-ray powder pattern of Ba2Tl8In was simulated for Cu Kα (λ = 1.5418 Å).
Lines closer than 0.1° are merged.

Structure:
abc: 5.7391 7.8020 8.5698
angles: 80.60 78.38 88.33
Fractional coordinates of all 11 atoms:
Ba (0.2118, 0.2550, 0.1521)
Ba (0.7882, 0.7450, 0.8479)
Tl (0.2047, 0.7376, 0.1271)
Tl (0.2415, 0.8698, 0.4809)
Tl (0.2879, 0.0514, 0.7887)
Tl (0.3875, 0.4882, 0.7062)
Tl (0.6125, 0.5118, 0.2938)
Tl (0.7121, 0.9486, 0.2113)
Tl (0.7585, 0.1302, 0.5191)
Tl (0.7953, 0.2624, 0.8729)
In (0.0000, 0.5000, 0.5000)

Top 10 peaks for 10° ≤ 2θ ≤ 90°, sorted by position:
| two_theta | I_rel |
| --- | --- |
| 29.22 | 39 |
| 30.13 | 52 |
| 30.30 | 76 |
| 31.04 | 94 |
| 31.51 | 37 |
| 31.84 | 46 |
| 32.42 | 35 |
| 32.63 | 100 |
| 33.17 | 60 |
| 33.93 | 37 |